No. 1
Diffraction record for KWBr. The X-ray powder pattern is simulated, not measured: it uses a DFT-relaxed cell (GGA-PBE, Alexandria) and Cu Kα.

a = 3.208 Å, b = 3.208 Å, c = 7.748 Å
α = 90.00°, β = 90.00°, γ = 120.00°
Fractional coordinates of all 3 atoms:
K 0.000 0.000 0.000
W 0.667 0.333 0.377
Br 0.333 0.667 0.625

Top 8 peaks for 10° ≤ 2θ ≤ 90°, low angle first:
- 2θ = 11.4°, intensity 100
- 2θ = 32.2°, intensity 16
- 2θ = 34.3°, intensity 87
- 2θ = 34.7°, intensity 16
- 2θ = 39.9°, intensity 65
- 2θ = 48.1°, intensity 24
- 2θ = 57.5°, intensity 18
- 2θ = 58.0°, intensity 14

=====

No. 2
Diffraction record for PuSc4Hg5. The X-ray powder pattern is simulated, not measured: it uses a DFT-relaxed cell (GGA-PBE, Alexandria) and Cu Kα.

a = 3.404 Å, b = 3.404 Å, c = 19.445 Å
α = 90.00°, β = 90.00°, γ = 90.00°
Fractional coordinates of all 10 atoms:
Pu 0.000 0.000 0.000
Sc 0.000 0.000 0.211
Sc 0.000 0.000 0.403
Sc 0.000 0.000 0.597
Sc 0.000 0.000 0.789
Hg 0.500 0.500 0.117
Hg 0.500 0.500 0.306
Hg 0.500 0.500 0.500
Hg 0.500 0.500 0.694
Hg 0.500 0.500 0.883

Top 8 peaks for 10° ≤ 2θ ≤ 90°, low angle first:
- 2θ = 22.9°, intensity 11
- 2θ = 26.2°, intensity 20
- 2θ = 35.0°, intensity 100
- 2θ = 37.4°, intensity 47
- 2θ = 53.9°, intensity 16
- 2θ = 61.3°, intensity 15
- 2θ = 65.9°, intensity 32
- 2θ = 74.0°, intensity 8

=====

No. 3
Diffraction record for PaNi5H11. The X-ray powder pattern is simulated, not measured: it uses a DFT-relaxed cell (GGA-PBE, Alexandria) and Cu Kα.

a = 5.564 Å, b = 5.564 Å, c = 4.873 Å
α = 102.54°, β = 102.54°, γ = 108.79°
Fractional coordinates of all 17 atoms:
Pa 0.000 0.000 0.000
Ni 0.069 0.352 0.627
Ni 0.352 0.069 0.627
Ni 0.500 0.500 0.000
Ni 0.648 0.931 0.373
Ni 0.931 0.648 0.373
H 0.000 0.000 0.500
H 0.129 0.684 0.683
H 0.186 0.440 0.993
H 0.316 0.871 0.317
H 0.386 0.386 0.625
H 0.440 0.186 0.993
H 0.560 0.814 0.007
H 0.614 0.614 0.375
H 0.684 0.129 0.683
H 0.814 0.560 0.007
H 0.871 0.316 0.317

Top 8 peaks for 10° ≤ 2θ ≤ 90°, low angle first:
- 2θ = 17.7°, intensity 90
- 2θ = 19.6°, intensity 60
- 2θ = 27.9°, intensity 84
- 2θ = 28.9°, intensity 48
- 2θ = 35.8°, intensity 100
- 2θ = 41.8°, intensity 38
- 2θ = 44.8°, intensity 63
- 2θ = 50.5°, intensity 39

=====

No. 4
Diffraction record for Ca3Ga5Cu6. The X-ray powder pattern is simulated, not measured: it uses a DFT-relaxed cell (GGA-PBE, Alexandria) and Cu Kα.

a = 8.071 Å, b = 8.071 Å, c = 8.071 Å
α = 149.24°, β = 112.46°, γ = 76.03°
Fractional coordinates of all 14 atoms:
Ca 0.000 0.000 0.000
Ca 0.306 0.306 0.000
Ca 0.694 0.694 0.000
Ga 0.017 0.672 0.345
Ga 0.326 0.672 0.655
Ga 0.500 0.000 0.500
Ga 0.674 0.328 0.345
Ga 0.983 0.328 0.655
Cu 0.160 0.879 0.281
Cu 0.298 0.500 0.798
Cu 0.401 0.121 0.281
Cu 0.599 0.879 0.719
Cu 0.702 0.500 0.202
Cu 0.840 0.121 0.719

Top 8 peaks for 10° ≤ 2θ ≤ 90°, low angle first:
- 2θ = 19.8°, intensity 64
- 2θ = 35.9°, intensity 100
- 2θ = 36.6°, intensity 66
- 2θ = 39.4°, intensity 74
- 2θ = 41.3°, intensity 67
- 2θ = 42.2°, intensity 98
- 2θ = 46.2°, intensity 93
- 2θ = 46.8°, intensity 53

=====

No. 5
Diffraction record for Zr2Ni17. The X-ray powder pattern is simulated, not measured: it uses a DFT-relaxed cell (GGA-PBE, Alexandria) and Cu Kα.

a = 6.174 Å, b = 6.174 Å, c = 6.174 Å
α = 82.72°, β = 82.72°, γ = 82.72°
Fractional coordinates of all 19 atoms:
Zr 0.164 0.164 0.164
Zr 0.836 0.836 0.836
Ni 0.000 0.500 0.500
Ni 0.152 0.152 0.658
Ni 0.152 0.658 0.152
Ni 0.197 0.500 0.803
Ni 0.197 0.803 0.500
Ni 0.342 0.848 0.848
Ni 0.399 0.399 0.399
Ni 0.500 0.000 0.500
Ni 0.500 0.197 0.803
Ni 0.500 0.500 0.000
Ni 0.500 0.803 0.197
Ni 0.601 0.601 0.601
Ni 0.658 0.152 0.152
Ni 0.803 0.197 0.500
Ni 0.803 0.500 0.197
Ni 0.848 0.342 0.848
Ni 0.848 0.848 0.342

Top 8 peaks for 10° ≤ 2θ ≤ 90°, low angle first:
- 2θ = 38.2°, intensity 37
- 2θ = 39.5°, intensity 23
- 2θ = 44.4°, intensity 58
- 2θ = 44.7°, intensity 100
- 2θ = 45.5°, intensity 45
- 2θ = 50.2°, intensity 54
- 2θ = 81.8°, intensity 24
- 2θ = 83.5°, intensity 20

=====

No. 6
Diffraction record for Ac3ScSn3. The X-ray powder pattern is simulated, not measured: it uses a DFT-relaxed cell (GGA-PBE, Alexandria) and Cu Kα.

a = 8.321 Å, b = 8.321 Å, c = 8.412 Å
α = 94.21°, β = 94.21°, γ = 112.23°
Fractional coordinates of all 14 atoms:
Ac 0.162 0.838 0.000
Ac 0.228 0.772 0.500
Ac 0.394 0.394 0.150
Ac 0.606 0.606 0.850
Ac 0.772 0.228 0.500
Ac 0.838 0.162 0.000
Sc 0.194 0.194 0.636
Sc 0.806 0.806 0.364
Sn 0.099 0.099 0.301
Sn 0.148 0.483 0.791
Sn 0.483 0.148 0.791
Sn 0.517 0.852 0.209
Sn 0.852 0.517 0.209
Sn 0.901 0.901 0.699

Top 8 peaks for 10° ≤ 2θ ≤ 90°, low angle first:
- 2θ = 24.7°, intensity 100
- 2θ = 24.9°, intensity 37
- 2θ = 29.9°, intensity 98
- 2θ = 30.4°, intensity 45
- 2θ = 30.8°, intensity 38
- 2θ = 31.4°, intensity 63
- 2θ = 35.2°, intensity 33
- 2θ = 41.4°, intensity 28

=====

No. 7
Diffraction record for Sr2NdSe4. The X-ray powder pattern is simulated, not measured: it uses a DFT-relaxed cell (GGA-PBE, Alexandria) and Cu Kα.

a = 7.781 Å, b = 7.781 Å, c = 13.632 Å
α = 90.00°, β = 90.00°, γ = 148.13°
Fractional coordinates of all 14 atoms:
Sr 0.129 0.871 0.569
Sr 0.129 0.871 0.931
Sr 0.871 0.129 0.069
Sr 0.871 0.129 0.431
Nd 0.389 0.611 0.750
Nd 0.611 0.389 0.250
Se 0.019 0.981 0.750
Se 0.224 0.776 0.137
Se 0.224 0.776 0.363
Se 0.500 0.500 0.000
Se 0.500 0.500 0.500
Se 0.776 0.224 0.637
Se 0.776 0.224 0.863
Se 0.981 0.019 0.250

Top 8 peaks for 10° ≤ 2θ ≤ 90°, low angle first:
- 2θ = 22.9°, intensity 63
- 2θ = 28.3°, intensity 100
- 2θ = 28.8°, intensity 54
- 2θ = 30.5°, intensity 80
- 2θ = 39.1°, intensity 60
- 2θ = 39.7°, intensity 58
- 2θ = 41.3°, intensity 33
- 2θ = 42.3°, intensity 36

=====

No. 8
Diffraction record for Li6HgS4. The X-ray powder pattern is simulated, not measured: it uses a DFT-relaxed cell (GGA-PBE, Alexandria) and Cu Kα.

a = 7.646 Å, b = 7.646 Å, c = 7.646 Å
α = 151.24°, β = 66.33°, γ = 121.66°
Fractional coordinates of all 11 atoms:
Li 0.088 0.778 0.310
Li 0.127 0.000 0.127
Li 0.468 0.778 0.690
Li 0.561 0.194 0.367
Li 0.827 0.194 0.633
Li 0.873 0.000 0.873
Hg 0.421 0.421 0.000
S 0.187 0.687 0.500
S 0.215 0.461 0.755
S 0.706 0.461 0.245
S 0.751 0.751 0.000

Top 8 peaks for 10° ≤ 2θ ≤ 90°, low angle first:
- 2θ = 13.8°, intensity 100
- 2θ = 24.0°, intensity 19
- 2θ = 24.5°, intensity 21
- 2θ = 26.3°, intensity 27
- 2θ = 27.9°, intensity 20
- 2θ = 34.4°, intensity 24
- 2θ = 38.7°, intensity 24
- 2θ = 39.9°, intensity 12

=====

No. 9
Diffraction record for Rb2AgAu2. The X-ray powder pattern is simulated, not measured: it uses a DFT-relaxed cell (GGA-PBE, Alexandria) and Cu Kα.

a = 6.590 Å, b = 6.590 Å, c = 6.590 Å
α = 135.15°, β = 128.94°, γ = 70.28°
Fractional coordinates of all 5 atoms:
Rb 0.197 0.197 0.000
Rb 0.803 0.803 0.000
Ag 0.500 0.000 0.500
Au 0.248 0.500 0.748
Au 0.752 0.500 0.252

Top 8 peaks for 10° ≤ 2θ ≤ 90°, low angle first:
- 2θ = 16.4°, intensity 78
- 2θ = 19.5°, intensity 38
- 2θ = 28.9°, intensity 40
- 2θ = 30.6°, intensity 49
- 2θ = 33.3°, intensity 32
- 2θ = 35.7°, intensity 72
- 2θ = 37.3°, intensity 100
- 2θ = 56.6°, intensity 43

=====

No. 10
Diffraction record for Li2Al2Au5. The X-ray powder pattern is simulated, not measured: it uses a DFT-relaxed cell (GGA-PBE, Alexandria) and Cu Kα.

a = 7.645 Å, b = 7.645 Å, c = 6.119 Å
α = 90.00°, β = 90.00°, γ = 59.15°
Fractional coordinates of all 18 atoms:
Li 0.198 0.198 0.000
Li 0.302 0.302 0.500
Li 0.698 0.698 0.500
Li 0.802 0.802 0.000
Al 0.159 0.841 0.630
Al 0.341 0.659 0.130
Al 0.659 0.341 0.870
Al 0.841 0.159 0.370
Au 0.000 0.000 0.000
Au 0.031 0.670 0.358
Au 0.170 0.531 0.858
Au 0.330 0.969 0.358
Au 0.469 0.830 0.858
Au 0.500 0.500 0.500
Au 0.531 0.170 0.142
Au 0.670 0.031 0.642
Au 0.830 0.469 0.142
Au 0.969 0.330 0.642

Top 8 peaks for 10° ≤ 2θ ≤ 90°, low angle first:
- 2θ = 27.5°, intensity 60
- 2θ = 27.8°, intensity 41
- 2θ = 32.3°, intensity 49
- 2θ = 36.0°, intensity 40
- 2θ = 37.7°, intensity 100
- 2θ = 39.0°, intensity 32
- 2θ = 39.3°, intensity 48
- 2θ = 62.2°, intensity 34

=====

No. 11
Diffraction record for LiTbDyTe3. The X-ray powder pattern is simulated, not measured: it uses a DFT-relaxed cell (GGA-PBE, Alexandria) and Cu Kα.

a = 8.901 Å, b = 4.215 Å, c = 9.465 Å
α = 90.00°, β = 103.87°, γ = 90.00°
Fractional coordinates of all 12 atoms:
Li 0.085 0.250 0.086
Li 0.915 0.750 0.914
Tb 0.186 0.250 0.731
Tb 0.814 0.750 0.269
Dy 0.334 0.750 0.338
Dy 0.666 0.250 0.662
Te 0.089 0.250 0.377
Te 0.235 0.750 0.996
Te 0.423 0.750 0.675
Te 0.577 0.250 0.325
Te 0.765 0.250 0.004
Te 0.911 0.750 0.623

Top 8 peaks for 10° ≤ 2θ ≤ 90°, low angle first:
- 2θ = 20.5°, intensity 19
- 2θ = 29.2°, intensity 34
- 2θ = 29.6°, intensity 100
- 2θ = 35.7°, intensity 20
- 2θ = 38.2°, intensity 18
- 2θ = 38.3°, intensity 23
- 2θ = 40.5°, intensity 22
- 2θ = 42.9°, intensity 19

=====

No. 12
Diffraction record for UTl2Te2O8. The X-ray powder pattern is simulated, not measured: it uses a DFT-relaxed cell (GGA-PBE, Alexandria) and Cu Kα.

a = 7.633 Å, b = 8.295 Å, c = 9.282 Å
α = 90.63°, β = 108.94°, γ = 109.78°
Fractional coordinates of all 26 atoms:
U 0.113 0.438 0.215
U 0.887 0.562 0.785
Tl 0.036 0.895 0.171
Tl 0.280 0.941 0.597
Tl 0.720 0.059 0.403
Tl 0.964 0.105 0.829
Te 0.333 0.406 0.634
Te 0.397 0.790 0.986
Te 0.603 0.210 0.014
Te 0.667 0.594 0.366
O 0.012 0.580 0.294
O 0.159 0.294 0.434
O 0.174 0.636 0.046
O 0.183 0.794 0.809
O 0.215 0.303 0.130
O 0.282 0.214 0.740
O 0.422 0.604 0.374
O 0.424 0.988 0.111
O 0.576 0.012 0.889
O 0.578 0.396 0.626
O 0.718 0.786 0.260
O 0.785 0.697 0.870
O 0.817 0.206 0.191
O 0.826 0.364 0.954
O 0.841 0.706 0.566
O 0.988 0.420 0.706

Top 8 peaks for 10° ≤ 2θ ≤ 90°, low angle first:
- 2θ = 23.6°, intensity 87
- 2θ = 24.8°, intensity 100
- 2θ = 27.8°, intensity 34
- 2θ = 28.0°, intensity 73
- 2θ = 28.7°, intensity 59
- 2θ = 29.0°, intensity 70
- 2θ = 30.5°, intensity 36
- 2θ = 43.8°, intensity 32